Computed powder diffraction line list
Compound: Er3P2Rh5
Radiation: Cu Kα, 1.54184 Å
Structure: the PBE geometry in Alexandria
No peak broadening, texture or thermal motion is included.

Cell and atoms:
```
20
Lattice="9.7466 0.0000 0.0000 0.0000 9.7466 0.0000 0.0000 0.0000 3.6062" Properties=species:S:1:pos:R:3 pbc="T T T"
Er 0.0000 0.0000 0.0000
Er 1.6765 3.1968 0.0000
Er 3.1968 8.0701 0.0000
Er 4.8733 4.8733 0.0000
Er 6.5498 1.6765 0.0000
Er 8.0701 6.5498 0.0000
P 1.2274 6.1008 0.0000
P 3.6459 1.2274 0.0000
P 6.1008 8.5192 0.0000
P 8.5192 3.6459 0.0000
Rh 0.0000 4.8733 1.8031
Rh 0.6776 7.5765 1.8031
Rh 2.1701 0.6776 1.8031
Rh 2.7032 5.5509 1.8031
Rh 4.1957 2.7032 1.8031
Rh 4.8733 0.0000 1.8031
Rh 5.5509 7.0434 1.8031
Rh 7.0434 4.1957 1.8031
Rh 7.5765 9.0690 1.8031
Rh 9.0690 2.1701 1.8031
```

Peak list (12 most intense, 5 to 70 degrees two-theta, most intense first)
d (Å), I_rel
2.343, 100
2.779, 59
2.364, 49
2.491, 35
2.179, 32
1.803, 23
2.163, 21
1.434, 20
1.481, 19
1.402, 15
1.389, 15
1.517, 11

=====

Computed powder diffraction line list
Compound: YThGaSi
Radiation: Cu Kα, 1.54184 Å
Structure: the PBE geometry in Alexandria
No peak broadening, texture or thermal motion is included.

Cell and atoms:
```
4
Lattice="4.0298 0.0000 0.0000 0.0000 2.1852 5.4691 0.0000 -2.1852 5.4691" Properties=species:S:1:pos:R:3 pbc="T T T"
Y 0.0000 0.0000 0.0000
Th 2.0149 0.0000 7.8505
Ga 0.0000 0.0000 3.1494
Si 2.0149 0.0000 4.7730
```

Peak list (12 most intense, 5 to 70 degrees two-theta, most intense first)
d (Å), I_rel
2.860, 100
2.800, 43
2.299, 39
3.244, 38
5.469, 30
2.735, 22
4.058, 22
2.185, 21
1.635, 17
2.263, 17
2.015, 16
1.812, 15

=====

Computed powder diffraction line list
Compound: CsPu4S6
Radiation: Cu Kα, 1.54184 Å
Structure: the PBE geometry in Alexandria
No peak broadening, texture or thermal motion is included.

Cell and atoms:
```
22
Lattice="2.0214 -6.7442 0.0000 2.0214 6.7442 0.0000 0.0000 0.0000 21.3096" Properties=species:S:1:pos:R:3 pbc="T T T"
Cs 2.0214 4.6165 15.9822
Cs 2.0214 -4.6165 5.3274
Pu 2.0214 5.4202 2.7476
Pu 2.0214 5.4202 7.9072
Pu 2.0214 1.8162 0.8223
Pu 2.0214 1.8162 9.8325
Pu 2.0214 -1.8162 11.4771
Pu 2.0214 -1.8162 20.4873
Pu 2.0214 -5.4202 13.4024
Pu 2.0214 -5.4202 18.5620
S 0.0000 0.0000 0.0000
S 0.0000 0.0000 10.6548
S 2.0214 4.8720 5.3274
S 2.0214 3.1416 12.3231
S 2.0214 3.1416 19.6413
S 2.0214 0.4067 3.1152
S 2.0214 0.4067 7.5396
S 2.0214 -0.4067 13.7700
S 2.0214 -0.4067 18.1944
S 2.0214 -3.1416 1.6683
S 2.0214 -3.1416 8.9865
S 2.0214 -4.8720 15.9822
```

Peak list (12 most intense, 5 to 70 degrees two-theta, most intense first)
d (Å), I_rel
3.603, 100
2.771, 75
10.655, 61
2.893, 53
3.400, 46
2.069, 44
2.021, 39
3.372, 38
2.977, 35
3.640, 34
3.134, 32
2.195, 30

=====

Computed powder diffraction line list
Compound: AcPtAu4
Radiation: Cu Kα, 1.54184 Å
Structure: the PBE geometry in Alexandria
No peak broadening, texture or thermal motion is included.

Cell and atoms:
```
12
Lattice="2.1849 -8.2839 0.0000 2.1849 8.2839 0.0000 0.0000 0.0000 7.3399" Properties=species:S:1:pos:R:3 pbc="T T T"
Ac 2.1849 6.1746 5.5050
Ac 2.1849 -6.1746 1.8350
Pt 2.1849 4.3202 1.8350
Pt 2.1849 -4.3202 5.5050
Au 2.1849 7.1836 1.8350
Au 2.1849 2.7745 4.1103
Au 2.1849 2.7745 6.8996
Au 2.1849 0.0000 0.0000
Au 2.1849 0.0000 3.6700
Au 2.1849 -2.7745 0.4403
Au 2.1849 -2.7745 3.2296
Au 2.1849 -7.1836 5.5050
```

Peak list (12 most intense, 5 to 70 degrees two-theta, most intense first)
d (Å), I_rel
2.771, 100
2.484, 65
2.185, 40
2.206, 36
2.640, 31
1.553, 24
2.117, 18
2.584, 15
1.405, 14
1.349, 12
2.081, 12
1.835, 11

=====

Computed powder diffraction line list
Compound: Y6SnSe4
Radiation: Cu Kα, 1.54184 Å
Structure: the PBE geometry in Alexandria
No peak broadening, texture or thermal motion is included.

Cell and atoms:
```
22
Lattice="2.0765 -6.6297 0.0000 2.0765 6.6297 0.0000 0.0000 0.0000 20.6809" Properties=species:S:1:pos:R:3 pbc="T T T"
Y 0.0000 0.0000 0.0000
Y 0.0000 0.0000 10.3404
Y 2.0765 4.4818 15.5107
Y 2.0765 3.0807 1.9882
Y 2.0765 3.0807 8.3522
Y 2.0765 0.6475 13.7270
Y 2.0765 0.6475 17.2944
Y 2.0765 -0.6475 3.3865
Y 2.0765 -0.6475 6.9539
Y 2.0765 -3.0807 12.3287
Y 2.0765 -3.0807 18.6927
Y 2.0765 -4.4818 5.1702
Sn 2.0765 4.4149 5.1702
Sn 2.0765 -4.4149 15.5107
Se 2.0765 5.4521 12.8933
Se 2.0765 5.4521 18.1280
Se 2.0765 1.8790 11.1060
Se 2.0765 1.8790 19.9154
Se 2.0765 -1.8790 0.7655
Se 2.0765 -1.8790 9.5749
Se 2.0765 -5.4521 2.5529
Se 2.0765 -5.4521 7.7876
```

Peak list (12 most intense, 5 to 70 degrees two-theta, most intense first)
d (Å), I_rel
2.905, 100
2.995, 55
3.058, 54
2.771, 37
2.077, 36
2.165, 31
2.032, 30
2.052, 27
2.699, 21
1.718, 20
1.452, 20
2.369, 19

=====

Computed powder diffraction line list
Compound: Ca2Pr5Ho
Radiation: Cu Kα, 1.54184 Å
Structure: the PBE geometry in Alexandria
No peak broadening, texture or thermal motion is included.

Cell and atoms:
```
8
Lattice="-2.6178 2.6178 10.6925 2.6178 -2.6178 10.6925 2.6178 2.6178 -10.6925" Properties=species:S:1:pos:R:3 pbc="T T T"
Ca 0.0000 0.0000 5.3366
Ca 0.0000 0.0000 16.0484
Pr 0.0000 0.0000 0.0000
Pr 2.6178 0.0000 2.5220
Pr 2.6178 0.0000 8.1705
Pr 0.0000 2.6178 2.5220
Pr 0.0000 2.6178 8.1705
Ho 0.0000 0.0000 10.6925
```

Peak list (12 most intense, 5 to 70 degrees two-theta, most intense first)
d (Å), I_rel
3.044, 100
2.618, 34
10.693, 33
1.582, 28
1.870, 23
2.673, 17
1.606, 13
1.851, 12
1.522, 12
2.568, 10
2.543, 5
1.656, 5

=====

Computed powder diffraction line list
Compound: Rb2Mn2Br7
Radiation: Cu Kα, 1.54184 Å
Structure: the PBE geometry in Alexandria
No peak broadening, texture or thermal motion is included.

Cell and atoms:
```
22
Lattice="5.7860 0.0000 0.0000 0.0000 16.9012 0.0000 -1.5876 0.0000 9.1219" Properties=species:S:1:pos:R:3 pbc="T T T"
Rb 0.0109 2.6064 4.2407
Rb -0.7829 5.8442 8.8016
Rb 4.9813 11.0571 0.3203
Rb 4.1875 14.2948 4.8812
Mn 0.8262 10.2922 5.6766
Mn 1.6200 15.0596 1.1156
Mn 2.5783 1.8416 8.0062
Mn 3.3722 6.6090 3.4453
Br -0.5994 11.0287 3.8995
Br -1.3932 14.3231 8.4605
Br 0.1434 9.2410 7.7616
Br 0.9372 16.1108 3.2007
Br 1.7520 12.3704 6.5163
Br 2.5458 12.9814 1.9554
Br 2.8930 0.0000 0.0000
Br 2.0992 8.4506 4.5609
Br 1.6526 3.9198 7.1664
Br 2.4464 4.5308 2.6055
Br 3.2612 0.7904 5.9212
Br 4.0550 7.6602 1.3602
Br 5.5916 2.5781 0.6614
Br 4.7978 5.8725 5.2223
```

Peak list (12 most intense, 5 to 70 degrees two-theta, most intense first)
d (Å), I_rel
4.463, 100
3.543, 94
3.394, 88
4.348, 79
3.295, 72
1.873, 39
4.008, 38
2.397, 37
2.204, 35
2.676, 34
2.740, 34
3.235, 32

=====

Computed powder diffraction line list
Compound: H10PdRh4
Radiation: Cu Kα, 1.54184 Å
Structure: the PBE geometry in Alexandria
No peak broadening, texture or thermal motion is included.

Cell and atoms:
```
15
Lattice="-3.4503 3.4503 2.1944 3.4503 -3.4503 2.1944 3.4503 3.4503 -2.1944" Properties=species:S:1:pos:R:3 pbc="T T T"
H 4.1735 2.0194 -1.1497
H 2.0194 2.7272 -1.1497
H 3.4503 0.0000 1.0972
H 1.4310 0.7232 1.0447
H -0.7232 1.4310 1.0447
H 4.1735 2.0194 1.1497
H 2.0194 2.7272 1.1497
H 0.0000 3.4503 1.0972
H 1.4310 0.7232 3.3441
H -0.7232 1.4310 3.3441
Pd 0.0000 0.0000 2.1944
Rh 4.8296 0.6922 0.0000
Rh 0.6922 2.0711 0.0000
Rh 2.7582 1.3792 2.1944
Rh -1.3792 2.7582 2.1944
```

Peak list (5 most intense, 5 to 70 degrees two-theta, most intense first)
d (Å), I_rel
2.524, 100
2.182, 31
1.547, 22
2.194, 16
1.543, 11